For EuMg2Bi2, the GGA-PBE geometry in the Materials Project gives the computed X-ray diffraction stick pattern in this record (Cu Kα).

Structure:
```
EuMg2Bi2
1.0
4.8461 0.0000 0.0000
-2.4231 4.1969 0.0000
0.0000 0.0000 7.8614
Eu Mg Bi
1 2 2
direct
0.0000 0.0000 0.0000
0.3333 0.6667 0.3720
0.6667 0.3333 0.6280
0.3333 0.6667 0.7550
0.6667 0.3333 0.2450
```

Top 10 peaks for 5 to 70 degrees two-theta, low angle first:
(hkl), d_spacing, I_rel
1 0 1, 3.702, 100
1 0 2, 2.869, 53
1 1 0, 2.423, 48
0 1 3, 2.223, 34
0 2 1, 2.027, 20
0 2 2, 1.851, 15
2 1 1, 1.555, 18
1 1 4, 1.526, 16
1 0 5, 1.472, 23
1 2 3, 1.357, 15